Simulated PXRD pattern
Compound: Al3Hg
Radiation: copper Kα
Structure: a GGA-PBE-relaxed structure

The 10 most intense peaks (2θ from 10° to 90°), low angle first:
- 16.9°, intensity 89, hkl 0 0 1
- 17.3°, intensity 96, hkl 0 1 0
- 24.2°, intensity 100, hkl 0 1 1
- 31.9°, intensity 33, hkl 1 0 0
- 32.4°, intensity 52, hkl 1 0 -1
- 34.9°, intensity 48, hkl 0 2 0
- 36.9°, intensity 38, hkl 1 1 -1
- 38.5°, intensity 72, hkl 0 1 2
- 43.8°, intensity 49, hkl 1 1 1
- 48.3°, intensity 34, hkl 1 2 -1

Crystal structure
abc: 2.890 5.140 5.406
angles: 90.00 103.92 90.00
Space group P2/m (No. 10)
Symmetry-distinct sites (fractional):
Al: 0.000 0.000 0.000 x1
Al: 0.355 0.500 0.223 x2
Hg: 0.500 0.000 0.500 x1